Structure and calculated XRD peak list of Na2US2O2 (a DFT-relaxed cell (PBE, Alexandria); Cu Kα (weighted mean of Kα1 and Kα2)).

Unit cell a=3.509 b=4.988 c=7.782 alpha=100.17 beta=90.60 gamma=92.96
Sites, in units of the cell vectors:
Na (0.003, 0.297, 0.147)
Na (0.997, 0.703, 0.853)
U (0.500, 0.000, 0.500)
S (0.497, 0.212, 0.822)
S (0.503, 0.788, 0.178)
O (0.069, 0.220, 0.444)
O (0.931, 0.780, 0.556)

The 12 most intense peaks (2θ = 5–70°), most intense first:
| d_spacing | 2θ (°) | intensity |
| --- | --- | --- |
| 7.659 | 11.6 | 1000 |
| 4.902 | 18.1 | 534 |
| 4.508 | 19.7 | 483 |
| 3.831 | 23.2 | 476 |
| 2.783 | 32.2 | 327 |
| 2.554 | 35.1 | 292 |
| 2.716 | 33.0 | 238 |
| 2.819 | 31.7 | 224 |
| 3.504 | 25.4 | 198 |
| 2.927 | 30.5 | 151 |
| 2.465 | 36.5 | 148 |
| 3.317 | 26.9 | 145 |